Theoretical powder diffractogram of CaTb2SmIn4 for Cu Kα, from a structure optimized by DFT (PBE).

Largest 12 diffraction maxima, in order of falling intensity, 10° ≤ 2θ ≤ 80°:
Position (°2θ)  d/Å  I_rel
33.23  2.696  100.0
33.38  2.685  99.2
59.59  1.551  54.6
47.82  1.902  35.6
59.29  1.559  18.3
79.82  1.202  15.5
79.58  1.205  15.5
69.77  1.348  11.1
70.10  1.342  11.1
20.24  4.387  5.3
10.03  8.823  5.1
19.38  4.580  4.9

Cell and atoms:
Cell lengths 5.3693, 5.3693, 26.4679 Å; angles 90.00, 90.00, 120.00 degrees
Space group R-3m (No. 166, hexagonal axes)
Unique sites:
Ca: 0.0000 0.0000 0.0000 (multiplicity 3)
Tb: 0.0000 0.0000 0.2520 (multiplicity 6)
Sm: 0.0000 0.0000 0.5000 (multiplicity 3)
In: 0.0000 0.0000 0.1254 (multiplicity 6)
In: 0.0000 0.0000 0.3754 (multiplicity 6)